(1)
Starting from a DFT-relaxed cell (GGA-PBE, the Materials Project), the powder diffraction line list of Sr2CeSiO6 was computed for CuKα.

Principal peaks in the range 2θ from 10° to 90°, in order of rising 2θ:
2theta	intensity	hkl
19.03	19	1 1 1
31.32	100	2 2 0
44.88	34	4 0 0
55.74	38	4 2 2
65.34	20	4 4 0
74.25	18	6 2 0

Structure:
Unit cell a=8.079 b=8.079 c=8.079 alpha=90.00 beta=90.00 gamma=90.00
Space group Fm-3m (No. 225)
One atom of each set of equivalent atoms:
Sr 0.250 0.250 0.250 x8
Ce 0.000 0.000 0.000 x4
Si 0.000 0.000 0.500 x4
O 0.000 0.000 0.275 x24

(2)
Starting from a DFT-relaxed cell (GGA-PBE, the Materials Project), the powder diffraction line list of Ce9SmO20 was computed for CuKα.

Principal peaks in the range 2θ from 10° to 90°, in order of rising 2θ:
2theta	intensity	hkl
28.24	100	1 0 2
32.67	20	1 2 0
46.88	18	0 2 3
47.00	36	3 0 1
55.63	30	2 2 2
55.84	15	4 -2 0

Structure:
Unit cell a=6.692 b=7.734 c=8.663 alpha=102.83 beta=97.59 gamma=106.55
Space group P-1 (No. 2)
One atom of each set of equivalent atoms:
Ce 0.000 0.000 0.000 x1
Ce 0.200 0.400 0.399 x2
Ce 0.200 0.899 0.399 x2
Ce 0.398 0.799 0.800 x2
Ce 0.400 0.301 0.801 x2
Sm 0.000 0.500 0.000 x1
O 0.051 0.219 0.847 x2
O 0.051 0.730 0.847 x2
O 0.149 0.674 0.550 x2
O 0.150 0.175 0.549 x2
O 0.252 0.126 0.250 x2
O 0.255 0.628 0.255 x2
O 0.351 0.075 0.951 x2
O 0.357 0.577 0.948 x2
O 0.449 0.024 0.650 x2
O 0.449 0.525 0.649 x2

(3)
Starting from a DFT-relaxed cell (GGA-PBE, the Materials Project), the powder diffraction line list of Ce2Sm2O7 was computed for CuKα.

Principal peaks in the range 2θ from 10° to 90°, in order of rising 2θ:
2theta	intensity	hkl
27.99	100	2 2 2
32.44	33	4 0 0
46.53	50	4 4 0
55.18	45	6 2 2
74.99	18	6 6 2
86.33	15	8 4 4

Structure:
Unit cell a=11.041 b=11.041 c=11.041 alpha=90.00 beta=90.00 gamma=90.00
Space group Fd-3m (No. 227, origin choice 2)
One atom of each set of equivalent atoms:
Ce 0.000 0.000 0.000 x16
Sm 0.000 0.000 0.500 x16
O 0.099 0.375 0.375 x48
O 0.125 0.125 0.625 x8

(4)
Starting from a DFT-relaxed cell (GGA-PBE, the Materials Project), the powder diffraction line list of Ce4SmO9 was computed for CuKα.

Principal peaks in the range 2θ from 10° to 90°, in order of rising 2θ:
2theta	intensity	hkl
27.69	100	0 5 1
28.35	96	1 0 1
32.58	42	1 5 0
46.49	65	1 5 2
54.79	41	1 10 1
55.96	30	2 5 1

Structure:
Unit cell a=3.820 b=19.780 c=5.554 alpha=90.00 beta=90.00 gamma=90.00
Space group Imm2 (No. 44)
One atom of each set of equivalent atoms:
Ce 0.000 0.107 0.000 x4
Ce 0.000 0.300 0.995 x4
Sm 0.000 0.500 0.940 x2
O 0.000 0.000 0.215 x2
O 0.000 0.196 0.747 x4
O 0.000 0.203 0.246 x4
O 0.000 0.394 0.738 x4
O 0.000 0.416 0.246 x4

(5)
Starting from a DFT-relaxed cell (GGA-PBE, the Materials Project), the powder diffraction line list of Ce4SmO10 was computed for CuKα.

Principal peaks in the range 2θ from 10° to 90°, in order of rising 2θ:
2theta	intensity	hkl
28.20	100	1 2 1
32.68	29	3 1 0
46.89	55	3 1 2
55.62	45	5 0 1
75.63	18	5 0 3
87.12	17	5 5 2

Structure:
Unit cell a=8.671 b=8.671 c=5.474 alpha=90.00 beta=90.00 gamma=90.00
Space group I4/m (No. 87)
One atom of each set of equivalent atoms:
Ce 0.101 0.701 0.000 x8
Sm 0.000 0.000 0.500 x2
O 0.000 0.500 0.250 x4
O 0.102 0.203 0.246 x16

(6)
Starting from a DFT-relaxed cell (GGA-PBE, the Materials Project), the powder diffraction line list of Ce3SnO8 was computed for CuKα.

Principal peaks in the range 2θ from 10° to 90°, in order of rising 2θ:
2theta	intensity	hkl
28.52	33	0 0 12
28.67	100	1 0 4
33.19	38	0 1 8
47.54	36	1 0 16
47.74	37	1 1 0
56.58	44	0 2 4

Structure:
Unit cell a=3.8105 b=3.8105 c=37.5536 alpha=90.00 beta=90.00 gamma=120.00
Space group R-3m (No. 166, hexagonal axes)
One atom of each set of equivalent atoms:
Ce 0.0000 0.0000 0.0000 x3
Ce 0.0000 0.0000 0.2479 x6
Sn 0.0000 0.0000 0.5000 x3
O 0.0000 0.0000 0.0640 x6
O 0.0000 0.0000 0.1844 x6
O 0.0000 0.0000 0.3118 x6
O 0.0000 0.0000 0.4414 x6

(7)
Starting from a DFT-relaxed cell (GGA-PBE, the Materials Project), the powder diffraction line list of Ce4SnO10 was computed for CuKα.

Principal peaks in the range 2θ from 10° to 90°, in order of rising 2θ:
2theta	intensity	hkl
28.49	100	0 1 5
28.62	99	1 1 0
33.09	57	0 2 0
47.49	73	1 2 5
56.30	59	1 3 0
56.49	29	2 1 5

Structure:
Unit cell a=3.814 b=5.418 c=19.200 alpha=90.00 beta=90.00 gamma=90.00
Space group Immm (No. 71)
One atom of each set of equivalent atoms:
Ce 0.000 0.000 0.098 x4
Ce 0.000 0.000 0.301 x4
Sn 0.000 0.000 0.500 x2
O 0.000 0.243 0.405 x8
O 0.000 0.249 0.199 x8
O 0.000 0.265 0.000 x4

(8)
Starting from a DFT-relaxed cell (GGA-PBE, the Materials Project), the powder diffraction line list of Ce3SnO8 was computed for CuKα.

Principal peaks in the range 2θ from 10° to 90°, in order of rising 2θ:
2theta	intensity	hkl
28.63	100	1 0 2
33.22	19	1 1 0
47.63	55	2 0 0
56.42	15	1 0 6
56.57	30	2 1 2
76.92	12	2 1 6

Structure:
Unit cell a=3.814 b=3.814 c=10.824 alpha=90.00 beta=90.00 gamma=90.00
Space group P4/mmm (No. 123)
One atom of each set of equivalent atoms:
Ce 0.000 0.000 0.000 x1
Ce 0.500 0.500 0.254 x2
Sn 0.000 0.000 0.500 x1
O 0.000 0.500 0.127 x4
O 0.000 0.500 0.383 x4

(9)
Starting from a DFT-relaxed cell (GGA-PBE, the Materials Project), the powder diffraction line list of Ce4SnO10 was computed for CuKα.

Principal peaks in the range 2θ from 10° to 90°, in order of rising 2θ:
2theta	intensity	hkl
28.55	100	0 1 5
33.09	29	1 0 10
47.49	54	1 1 0
56.35	44	2 0 5
76.72	17	1 2 5
88.45	17	3 0 0

Structure:
Unit cell a=3.8295 b=3.8295 c=46.8748 alpha=90.00 beta=90.00 gamma=120.00
Space group R-3m (No. 166, hexagonal axes)
One atom of each set of equivalent atoms:
Ce 0.0000 0.0000 0.1025 x6
Ce 0.0000 0.0000 0.2993 x6
Sn 0.0000 0.0000 0.5000 x3
O 0.0000 0.0000 0.0511 x6
O 0.0000 0.0000 0.1528 x6
O 0.0000 0.0000 0.2477 x6
O 0.0000 0.0000 0.3502 x6
O 0.0000 0.0000 0.4538 x6

(10)
Starting from a DFT-relaxed cell (GGA-PBE, the Materials Project), the powder diffraction line list of Sr2CeSnO6 was computed for CuKα.

Principal peaks in the range 2θ from 10° to 90°, in order of rising 2θ:
2theta	intensity	hkl
29.55	100	2 2 0
42.28	33	4 0 0
52.42	41	4 2 2
61.33	21	4 4 0
69.53	18	6 2 0
84.86	22	6 4 2

Structure:
Unit cell a=8.551 b=8.551 c=8.551 alpha=90.00 beta=90.00 gamma=90.00
Space group Fm-3m (No. 225)
One atom of each set of equivalent atoms:
Sr 0.250 0.250 0.250 x8
Ce 0.000 0.000 0.000 x4
Sn 0.000 0.000 0.500 x4
O 0.000 0.000 0.258 x24

(11)
Starting from a DFT-relaxed cell (GGA-PBE, the Materials Project), the powder diffraction line list of Sr2CeSnO6 was computed for CuKα.

Principal peaks in the range 2θ from 10° to 90°, in order of rising 2θ:
2theta	intensity	hkl
29.79	100	2 2 0
42.63	30	4 0 0
52.87	45	4 2 2
61.87	18	4 4 0
70.16	18	6 2 0
85.69	24	6 2 4

Structure:
Unit cell a=8.483 b=8.483 c=8.483 alpha=90.00 beta=90.00 gamma=90.00
Space group Pn-3 (No. 201, origin choice 2)
One atom of each set of equivalent atoms:
Sr 0.250 0.250 0.250 x2
Sr 0.250 0.250 0.750 x6
Ce 0.000 0.000 0.000 x4
Sn 0.000 0.000 0.500 x4
O 0.033 0.540 0.758 x24

Q: Which formula does entry 9 have?
A: Ce4SnO10